Entry 1:
For Th3As4, a DFT-relaxed cell (GGA-PBE, Alexandria) gives the theoretical powder XRD pattern in this record (copper Kα).
Neutral-atom scattering factors, no anomalous dispersion.

Structural model:
```
data_Th3As4
_cell_length_a 8.9009
_cell_length_b 8.9009
_cell_length_c 8.9009
_cell_angle_alpha 90.00
_cell_angle_beta 90.00
_cell_angle_gamma 90.00
_symmetry_space_group_name_H-M 'I -4 3 d'
_symmetry_Int_Tables_number 220
_symmetry_space_group_name_Hall 'I -4bd 2c 3'
loop_
_atom_site_label
_atom_site_type_symbol
_atom_site_fract_x
_atom_site_fract_y
_atom_site_fract_z
Th1 Th 0.0000 0.2500 0.8750
As1 As 0.0790 0.4210 0.5790
```

Most intense lines, 2θ from 10° to 90°, sorted by position:
d = 3.634 Å, 2θ 24.50, intensity 65
d = 2.815 Å, 2θ 31.79, intensity 100
d = 2.379 Å, 2θ 37.82, intensity 69
d = 1.990 Å, 2θ 45.58, intensity 36
d = 1.898 Å, 2θ 47.94, intensity 24
d = 1.817 Å, 2θ 50.21, intensity 10
d = 1.746 Å, 2θ 52.42, intensity 24
d = 1.444 Å, 2θ 64.54, intensity 38
d = 1.373 Å, 2θ 68.29, intensity 17
d = 1.211 Å, 2θ 79.06, intensity 25

Entry 2:
For Th3As, a DFT-relaxed cell (GGA-PBE, Alexandria) gives the theoretical powder XRD pattern in this record (copper Kα).
Neutral-atom scattering factors, no anomalous dispersion.

Structural model:
```
data_Th3As
_cell_length_a 3.8227
_cell_length_b 9.6755
_cell_length_c 6.4476
_cell_angle_alpha 90.00
_cell_angle_beta 90.00
_cell_angle_gamma 90.00
_symmetry_space_group_name_H-M 'I m m 2'
_symmetry_Int_Tables_number 44
loop_
_symmetry_equiv_pos_as_xyz
'x,y,z'
'-x,-y,z'
'-x,y,z'
'x,-y,z'
'x+1/2,y+1/2,z+1/2'
'-x+1/2,-y+1/2,z+1/2'
'-x+1/2,y+1/2,z+1/2'
'x+1/2,-y+1/2,z+1/2'
loop_
_atom_site_label
_atom_site_type_symbol
_atom_site_fract_x
_atom_site_fract_y
_atom_site_fract_z
Th1 Th 0.0000 0.0000 0.0000
Th2 Th 0.0000 0.2016 0.4262
As1 As 0.0000 0.5000 0.1489
```

Most intense lines, 2θ from 10° to 90°, sorted by position:
d = 3.555 Å, 2θ 25.05, intensity 21
d = 3.288 Å, 2θ 27.12, intensity 19
d = 3.224 Å, 2θ 27.67, intensity 32
d = 2.884 Å, 2θ 31.00, intensity 46
d = 2.719 Å, 2θ 32.94, intensity 100
d = 2.683 Å, 2θ 33.40, intensity 18
d = 2.388 Å, 2θ 37.67, intensity 27
d = 1.911 Å, 2θ 47.57, intensity 14
d = 1.593 Å, 2θ 57.87, intensity 17
d = 1.522 Å, 2θ 60.87, intensity 22

Entry 3:
For ThTi2As2, a DFT-relaxed cell (GGA-PBE, Alexandria) gives the theoretical powder XRD pattern in this record (copper Kα).
Neutral-atom scattering factors, no anomalous dispersion.

Structural model:
```
data_ThTi2As2
_cell_length_a 8.6882
_cell_length_b 9.6925
_cell_length_c 10.4546
_cell_angle_alpha 90.00
_cell_angle_beta 90.00
_cell_angle_gamma 90.00
_symmetry_space_group_name_H-M 'F d d d'
_symmetry_Int_Tables_number 70
loop_
_symmetry_equiv_pos_as_xyz
'x,y,z'
'-x,-y,-z'
'-x+1/4,-y+1/4,z'
'x+1/4,y+1/4,-z'
'x,-y+1/4,-z+1/4'
'-x,y+1/4,z+1/4'
'-x+1/4,y,-z+1/4'
'x+1/4,-y,z+1/4'
'x,y+1/2,z+1/2'
'-x,-y+1/2,-z+1/2'
'-x+1/4,-y+3/4,z+1/2'
'x+1/4,y+3/4,-z+1/2'
'x,-y+3/4,-z+3/4'
'-x,y+3/4,z+3/4'
'-x+1/4,y+1/2,-z+3/4'
'x+1/4,-y+1/2,z+3/4'
'x+1/2,y,z+1/2'
'-x+1/2,-y,-z+1/2'
'-x+3/4,-y+1/4,z+1/2'
'x+3/4,y+1/4,-z+1/2'
'x+1/2,-y+1/4,-z+3/4'
'-x+1/2,y+1/4,z+3/4'
'-x+3/4,y,-z+3/4'
'x+3/4,-y,z+3/4'
'x+1/2,y+1/2,z'
'-x+1/2,-y+1/2,-z'
'-x+3/4,-y+3/4,z'
'x+3/4,y+3/4,-z'
'x+1/2,-y+3/4,-z+1/4'
'-x+1/2,y+3/4,z+1/4'
'-x+3/4,y+1/2,-z+1/4'
'x+3/4,-y+1/2,z+1/4'
loop_
_atom_site_label
_atom_site_type_symbol
_atom_site_fract_x
_atom_site_fract_y
_atom_site_fract_z
Th1 Th 0.1250 0.1250 0.1250
Ti1 Ti 0.1250 0.2611 0.6250
As1 As 0.1250 0.1250 0.4097
```

Most intense lines, 2θ from 10° to 90°, sorted by position:
d = 5.501 Å, 2θ 16.11, intensity 38
d = 3.341 Å, 2θ 26.68, intensity 26
d = 3.235 Å, 2θ 27.58, intensity 100
d = 3.068 Å, 2θ 29.11, intensity 42
d = 2.909 Å, 2θ 30.74, intensity 41
d = 2.614 Å, 2θ 34.31, intensity 37
d = 2.286 Å, 2θ 39.42, intensity 46
d = 2.172 Å, 2θ 41.59, intensity 45
d = 2.033 Å, 2θ 44.57, intensity 40
d = 1.834 Å, 2θ 49.72, intensity 23

Entry 4:
For ThTlAs2, a DFT-relaxed cell (GGA-PBE, Alexandria) gives the theoretical powder XRD pattern in this record (copper Kα).
Neutral-atom scattering factors, no anomalous dispersion.

Structural model:
```
data_ThTlAs2
_cell_length_a 4.3712
_cell_length_b 4.3712
_cell_length_c 21.3103
_cell_angle_alpha 90.00
_cell_angle_beta 90.00
_cell_angle_gamma 120.00
_symmetry_space_group_name_H-M 'R -3 m'
_symmetry_Int_Tables_number 166
_symmetry_space_group_name_Hall '-R 3 2"'
loop_
_atom_site_label
_atom_site_type_symbol
_atom_site_fract_x
_atom_site_fract_y
_atom_site_fract_z
Th1 Th 0.0000 0.0000 0.0000
Tl1 Tl 0.0000 0.0000 0.5000
As1 As 0.0000 0.0000 0.2597
```

Most intense lines, 2θ from 10° to 90°, sorted by position:
d = 3.567 Å, 2θ 24.96, intensity 31
d = 3.086 Å, 2θ 28.93, intensity 100
d = 2.186 Å, 2θ 41.31, intensity 39
d = 2.178 Å, 2θ 41.45, intensity 37
d = 1.862 Å, 2θ 48.91, intensity 17
d = 1.784 Å, 2θ 51.22, intensity 21
d = 1.543 Å, 2θ 59.95, intensity 12
d = 1.382 Å, 2θ 67.82, intensity 18
d = 1.378 Å, 2θ 68.02, intensity 16
d = 1.261 Å, 2θ 75.38, intensity 20

Entry 5:
For TmTh4As5, a DFT-relaxed cell (GGA-PBE, Alexandria) gives the theoretical powder XRD pattern in this record (copper Kα).
Neutral-atom scattering factors, no anomalous dispersion.

Structural model:
```
data_TmTh4As5
_cell_length_a 9.4299
_cell_length_b 9.4299
_cell_length_c 5.9780
_cell_angle_alpha 90.00
_cell_angle_beta 90.00
_cell_angle_gamma 90.00
_symmetry_space_group_name_H-M 'I 4/m'
_symmetry_Int_Tables_number 87
_symmetry_space_group_name_Hall '-I 4'
loop_
_atom_site_label
_atom_site_type_symbol
_atom_site_fract_x
_atom_site_fract_y
_atom_site_fract_z
Tm1 Tm 0.0000 0.0000 0.0000
Th1 Th 0.0986 0.3006 0.5000
As1 As 0.0000 0.0000 0.5000
As2 As 0.0985 0.2928 0.0000
```

Most intense lines, 2θ from 10° to 90°, sorted by position:
d = 3.446 Å, 2θ 25.85, intensity 41
d = 2.984 Å, 2θ 29.94, intensity 100
d = 2.110 Å, 2θ 42.85, intensity 76
d = 1.800 Å, 2θ 50.73, intensity 21
d = 1.723 Å, 2θ 53.16, intensity 27
d = 1.369 Å, 2θ 68.53, intensity 9
d = 1.336 Å, 2θ 70.48, intensity 12
d = 1.334 Å, 2θ 70.61, intensity 23
d = 1.219 Å, 2θ 78.43, intensity 9
d = 1.218 Å, 2θ 78.54, intensity 17

Entry 6:
For ThU3As4, a DFT-relaxed cell (GGA-PBE, Alexandria) gives the theoretical powder XRD pattern in this record (copper Kα).
Neutral-atom scattering factors, no anomalous dispersion.

Structural model:
```
data_ThU3As4
_cell_length_a 8.3675
_cell_length_b 11.6892
_cell_length_c 4.0839
_cell_angle_alpha 90.00
_cell_angle_beta 90.00
_cell_angle_gamma 90.00
_symmetry_space_group_name_H-M 'C m m m'
_symmetry_Int_Tables_number 65
_symmetry_space_group_name_Hall '-C 2 2'
loop_
_atom_site_label
_atom_site_type_symbol
_atom_site_fract_x
_atom_site_fract_y
_atom_site_fract_z
Th1 Th 0.0000 0.0000 0.0000
U1 U 0.0000 0.5000 0.0000
U2 U 0.2500 0.2500 0.5000
As1 As 0.0000 0.2539 0.0000
As2 As 0.2417 0.5000 0.5000
```

Most intense lines, 2θ from 10° to 90°, sorted by position:
d = 3.402 Å, 2θ 26.20, intensity 23
d = 3.348 Å, 2θ 26.63, intensity 22
d = 2.922 Å, 2θ 30.59, intensity 100
d = 2.092 Å, 2θ 43.25, intensity 13
d = 2.066 Å, 2θ 43.81, intensity 51
d = 2.042 Å, 2θ 44.36, intensity 12
d = 1.701 Å, 2θ 53.90, intensity 14
d = 1.674 Å, 2θ 54.85, intensity 13
d = 1.461 Å, 2θ 63.69, intensity 13
d = 1.307 Å, 2θ 72.30, intensity 24